Diffraction record for V3O10. The powder XRD pattern is computed, not measured: it uses a crystal structure in Alexandria, relaxed with PBE+U and λ = 1.5418 Å (Cu Kα).
Peak positions follow from Bragg's law for the DFT cell and can differ from measured ones.

Atomic structure:
Lattice parameters (Å, degrees): 8.997 8.997 5.093 90.00 90.00 90.00
Sites, in units of the cell vectors:
1 V 0.000 0.000 0.000
2 V 0.136 0.364 0.017
3 V 0.364 0.864 0.017
4 V 0.500 0.500 0.000
5 V 0.636 0.136 0.017
6 V 0.864 0.636 0.017
7 O 0.000 0.000 0.316
8 O 0.000 0.500 0.918
9 O 0.086 0.186 0.910
10 O 0.135 0.365 0.348
11 O 0.186 0.914 0.910
12 O 0.218 0.718 0.481
13 O 0.282 0.218 0.481
14 O 0.314 0.414 0.910
15 O 0.365 0.865 0.348
16 O 0.414 0.686 0.910
17 O 0.500 0.000 0.918
18 O 0.500 0.500 0.316
19 O 0.586 0.314 0.910
20 O 0.635 0.135 0.348
21 O 0.686 0.586 0.910
22 O 0.718 0.782 0.481
23 O 0.782 0.282 0.481
24 O 0.814 0.086 0.910
25 O 0.865 0.635 0.348
26 O 0.914 0.814 0.910

Largest 12 diffraction maxima, in order of falling intensity, 10° ≤ 2θ ≤ 80°:
2θ = 17.4°, intensity 100, (0 0 1); 2θ = 22.1°, intensity 89, (2 1 0); 2θ = 28.3°, intensity 68, (2 1 1); 2θ = 31.4°, intensity 33, (3 1 0); 2θ = 35.2°, intensity 29, (0 0 2); 2θ = 26.4°, intensity 28, (2 0 1); 2θ = 36.2°, intensity 25, (3 1 1); 2θ = 28.1°, intensity 20, (2 2 0); 2θ = 48.7°, intensity 16, (4 2 1); 2θ = 58.0°, intensity 14, (4 4 0); 2θ = 63.8°, intensity 14, (3 1 3); 2θ = 55.0°, intensity 12, (5 2 0)